The following is a computed X-ray powder pattern of PrErScAg. It was derived from the GGA-PBE geometry in Alexandria, using Cu Ka.
Lines closer than 0.1° are merged.

Crystal structure
Lattice parameters (Å, degrees): 3.5711 3.5711 8.3899 90.00 90.00 90.00
Space group P4mm (No. 99)
One atom of each set of equivalent atoms:
Pr  0.0000  0.0000  0.0000 [1 per cell]
Er  0.5000  0.5000  0.6904 [1 per cell]
Sc  0.5000  0.5000  0.2846 [1 per cell]
Ag  0.0000  0.0000  0.4711 [1 per cell]

Largest 6 diffraction maxima, low angle first, 10 to 90 degrees two-theta:
2θ 10.54, I 17, hkl 0 0 1
2θ 27.14, I 24, hkl 1 0 1
2θ 32.94, I 100, hkl 1 0 2
2θ 35.55, I 47, hkl 1 1 0
2θ 51.16, I 16, hkl 2 0 0
2θ 62.20, I 31, hkl 2 1 2